Diffraction record for U6BeC5. The powder XRD pattern is calculated, not measured: it uses a GGA-PBE-relaxed structure and a wavelength of 1.5418 Å.

Unit cell a=6.3651 b=6.3651 c=10.8327 alpha=90.00 beta=90.00 gamma=120.00
Sites, in units of the cell vectors:
1 U 0.0000 0.3662 0.1267
2 U 0.0000 0.3662 0.3733
3 U 0.0000 0.6338 0.6267
4 U 0.0000 0.6338 0.8733
5 U 0.3662 0.0000 0.1267
6 U 0.3662 0.0000 0.3733
7 U 0.3662 0.3662 0.6267
8 U 0.3662 0.3662 0.8733
9 U 0.6338 0.0000 0.6267
10 U 0.6338 0.0000 0.8733
11 U 0.6338 0.6338 0.1267
12 U 0.6338 0.6338 0.3733
13 Be 0.0000 0.0000 0.2500
14 Be 0.0000 0.0000 0.7500
15 C 0.0000 0.2812 0.7500
16 C 0.0000 0.7188 0.2500
17 C 0.2812 0.0000 0.7500
18 C 0.2812 0.2812 0.2500
19 C 0.3333 0.6667 0.0000
20 C 0.3333 0.6667 0.5000
21 C 0.6667 0.3333 0.0000
22 C 0.6667 0.3333 0.5000
23 C 0.7188 0.0000 0.2500
24 C 0.7188 0.7188 0.7500

The 6 most intense peaks (2θ from 15° to 90°), sorted by position:
28.0 deg, I 37.6; 29.2 deg, I 100.0; 33.1 deg, I 33.9; 37.7 deg, I 54.0; 49.6 deg, I 30.3; 60.9 deg, I 29.3

Diffraction record for BaZnBiH. The powder XRD pattern is calculated, not measured: it uses a GGA-PBE-relaxed structure and a wavelength of 1.5418 Å.

Unit cell a=4.6925 b=4.6925 c=5.3039 alpha=90.00 beta=90.00 gamma=120.00
Sites, in units of the cell vectors:
1 Ba 0.0000 0.0000 0.0000
2 Zn 0.3333 0.6667 0.4022
3 Bi 0.6667 0.3333 0.5383
4 H 0.3333 0.6667 0.0776

The 6 most intense peaks (2θ from 15° to 90°), sorted by position:
27.7 deg, I 100.0; 38.4 deg, I 40.0; 40.6 deg, I 16.0; 47.9 deg, I 22.5; 52.0 deg, I 22.9; 63.0 deg, I 20.1

Diffraction record for LiOs2Cl8. The powder XRD pattern is calculated, not measured: it uses a GGA-PBE-relaxed structure and a wavelength of 1.5418 Å.

Unit cell a=7.6816 b=7.6816 c=6.4209 alpha=97.68 beta=97.68 gamma=71.10
Sites, in units of the cell vectors:
1 Li 0.0000 0.0000 0.0000
2 Os 0.1937 0.1937 0.6649
3 Os 0.8063 0.8063 0.3351
4 Cl 0.0815 0.7223 0.2005
5 Cl 0.1907 0.1907 0.3171
6 Cl 0.2777 0.9185 0.7995
7 Cl 0.3717 0.3717 0.7631
8 Cl 0.6283 0.6283 0.2369
9 Cl 0.7223 0.0815 0.2005
10 Cl 0.8093 0.8093 0.6829
11 Cl 0.9185 0.2777 0.7995

The 6 most intense peaks (2θ from 15° to 90°), sorted by position:
17.7 deg, I 100.0; 19.5 deg, I 38.4; 19.9 deg, I 48.5; 21.7 deg, I 35.1; 23.8 deg, I 40.5; 24.6 deg, I 41.9

Diffraction record for Cu5PdI12. The powder XRD pattern is calculated, not measured: it uses a GGA-PBE-relaxed structure and a wavelength of 1.5418 Å.

Unit cell a=7.0217 b=7.0217 c=14.1864 alpha=94.51 beta=94.51 gamma=122.60
Sites, in units of the cell vectors:
1 Cu 0.0000 0.0000 0.0000
2 Cu 0.1637 0.8363 0.5000
3 Cu 0.3338 0.6662 0.0000
4 Cu 0.6662 0.3338 0.0000
5 Cu 0.8363 0.1637 0.5000
6 Pd 0.5000 0.5000 0.5000
7 I 0.0186 0.6841 0.1143
8 I 0.1261 0.4472 0.3895
9 I 0.2211 0.2211 0.6171
10 I 0.3159 0.9814 0.8857
11 I 0.3503 0.3503 0.1124
12 I 0.4472 0.1261 0.3895
13 I 0.5528 0.8739 0.6105
14 I 0.6497 0.6497 0.8876
15 I 0.6841 0.0186 0.1143
16 I 0.7789 0.7789 0.3829
17 I 0.8739 0.5528 0.6105
18 I 0.9814 0.3159 0.8857

The 6 most intense peaks (2θ from 15° to 90°), sorted by position:
25.5 deg, I 43.9; 27.5 deg, I 95.1; 29.5 deg, I 100.0; 30.3 deg, I 31.4; 44.1 deg, I 31.7; 46.0 deg, I 59.1

Diffraction record for Sm8TeAs6. The powder XRD pattern is calculated, not measured: it uses a GGA-PBE-relaxed structure and a wavelength of 1.5418 Å.

Unit cell a=10.7735 b=10.7735 c=4.3662 alpha=90.00 beta=90.00 gamma=120.00
Sites, in units of the cell vectors:
1 Sm 0.0336 0.3444 0.2591
2 Sm 0.3109 0.9664 0.2591
3 Sm 0.3333 0.6667 0.7468
4 Sm 0.3444 0.3109 0.7409
5 Sm 0.6556 0.6891 0.2591
6 Sm 0.6667 0.3333 0.2532
7 Sm 0.6891 0.0336 0.7409
8 Sm 0.9664 0.6556 0.7409
9 Te 0.0000 0.0000 0.5000
10 As 0.1354 0.6579 0.2427
11 As 0.3421 0.4775 0.2427
12 As 0.4775 0.1354 0.7573
13 As 0.5225 0.8646 0.2427
14 As 0.6579 0.5225 0.7573
15 As 0.8646 0.3421 0.7573

The 6 most intense peaks (2θ from 15° to 90°), sorted by position:
26.3 deg, I 65.5; 28.0 deg, I 46.5; 28.7 deg, I 100.0; 32.6 deg, I 65.2; 39.3 deg, I 74.6; 47.3 deg, I 36.0

Diffraction record for Tb4SmPbS8. The powder XRD pattern is calculated, not measured: it uses a GGA-PBE-relaxed structure and a wavelength of 1.5418 Å.

Unit cell a=8.2351 b=8.2351 c=8.2351 alpha=59.54 beta=59.54 gamma=59.54
Sites, in units of the cell vectors:
1 Tb 0.0000 0.0000 0.0000
2 Tb 0.3763 0.3763 0.8691
3 Tb 0.3763 0.8691 0.3763
4 Tb 0.8691 0.3763 0.3763
5 Sm 0.3767 0.3767 0.3767
6 Pb 0.7486 0.7486 0.7486
7 S 0.1299 0.1299 0.6026
8 S 0.1299 0.6026 0.1299
9 S 0.1324 0.1324 0.1324
10 S 0.1627 0.6146 0.6146
11 S 0.6026 0.1299 0.1299
12 S 0.6104 0.6104 0.6104
13 S 0.6146 0.1627 0.6146
14 S 0.6146 0.6146 0.1627

The 6 most intense peaks (2θ from 15° to 90°), sorted by position:
21.6 deg, I 22.1; 25.3 deg, I 32.4; 25.5 deg, I 100.0; 40.4 deg, I 43.4; 44.0 deg, I 36.6; 44.3 deg, I 36.2

Diffraction record for Pa4AsSe6. The powder XRD pattern is calculated, not measured: it uses a GGA-PBE-relaxed structure and a wavelength of 1.5418 Å.

Unit cell a=9.5400 b=9.5400 c=6.8855 alpha=90.00 beta=90.00 gamma=90.00
Sites, in units of the cell vectors:
1 Pa 0.0124 0.2500 0.0582
2 Pa 0.2500 0.0124 0.5582
3 Pa 0.2500 0.4876 0.5582
4 Pa 0.4876 0.2500 0.0582
5 Pa 0.5124 0.7500 0.9418
6 Pa 0.7500 0.5124 0.4418
7 Pa 0.7500 0.9876 0.4418
8 Pa 0.9876 0.7500 0.9418
9 As 0.2500 0.7500 0.7500
10 As 0.7500 0.2500 0.2500
11 Se 0.0376 0.5376 0.2500
12 Se 0.0376 0.9624 0.2500
13 Se 0.2500 0.2500 0.3132
14 Se 0.2500 0.2500 0.8132
15 Se 0.4624 0.5376 0.2500
16 Se 0.4624 0.9624 0.2500
17 Se 0.5376 0.0376 0.7500
18 Se 0.5376 0.4624 0.7500
19 Se 0.7500 0.7500 0.1868
20 Se 0.7500 0.7500 0.6868
21 Se 0.9624 0.0376 0.7500
22 Se 0.9624 0.4624 0.7500

The 6 most intense peaks (2θ from 15° to 90°), sorted by position:
22.7 deg, I 100.0; 33.4 deg, I 16.4; 37.3 deg, I 49.4; 37.7 deg, I 33.5; 44.5 deg, I 33.6; 67.8 deg, I 16.3

Diffraction record for Ac6TeSe12. The powder XRD pattern is calculated, not measured: it uses a GGA-PBE-relaxed structure and a wavelength of 1.5418 Å.

Unit cell a=8.7197 b=8.7197 c=8.7197 alpha=97.14 beta=97.14 gamma=97.14
Sites, in units of the cell vectors:
1 Ac 0.1434 0.8253 0.6400
2 Ac 0.1747 0.3600 0.8566
3 Ac 0.3600 0.8566 0.1747
4 Ac 0.6400 0.1434 0.8253
5 Ac 0.8253 0.6400 0.1434
6 Ac 0.8566 0.1747 0.3600
7 Te 0.5000 0.5000 0.5000
8 Se 0.0656 0.9165 0.3169
9 Se 0.0835 0.6831 0.9344
10 Se 0.1545 0.4688 0.5079
11 Se 0.3169 0.0656 0.9165
12 Se 0.4688 0.5079 0.1545
13 Se 0.4921 0.8455 0.5312
14 Se 0.5079 0.1545 0.4688
15 Se 0.5312 0.4921 0.8455
16 Se 0.6831 0.9344 0.0835
17 Se 0.8455 0.5312 0.4921
18 Se 0.9165 0.3169 0.0656
19 Se 0.9344 0.0835 0.6831

The 6 most intense peaks (2θ from 15° to 90°), sorted by position:
20.4 deg, I 22.5; 21.8 deg, I 100.0; 29.2 deg, I 27.0; 31.6 deg, I 30.4; 34.5 deg, I 46.7; 36.4 deg, I 44.2

Diffraction record for Y2SiSe. The powder XRD pattern is calculated, not measured: it uses a GGA-PBE-relaxed structure and a wavelength of 1.5418 Å.

Unit cell a=4.0658 b=4.0658 c=21.2708 alpha=90.00 beta=90.00 gamma=120.00
Sites, in units of the cell vectors:
1 Y 0.0000 0.0000 0.0000
2 Y 0.0000 0.0000 0.1812
3 Y 0.3333 0.6667 0.6667
4 Y 0.3333 0.6667 0.8479
5 Y 0.6667 0.3333 0.3333
6 Y 0.6667 0.3333 0.5146
7 Si 0.0000 0.0000 0.5898
8 Si 0.3333 0.6667 0.2565
9 Si 0.6667 0.3333 0.9232
10 Se 0.0000 0.0000 0.7593
11 Se 0.3333 0.6667 0.4259
12 Se 0.6667 0.3333 0.0926

The 6 most intense peaks (2θ from 15° to 90°), sorted by position:
25.6 deg, I 35.8; 26.7 deg, I 23.5; 30.4 deg, I 39.7; 33.0 deg, I 100.0; 39.2 deg, I 36.5; 44.6 deg, I 54.6

Diffraction record for Tl3TcI7. The powder XRD pattern is calculated, not measured: it uses a GGA-PBE-relaxed structure and a wavelength of 1.5418 Å.

Unit cell a=8.0920 b=8.0920 c=8.8529 alpha=112.72 beta=112.72 gamma=79.34
Sites, in units of the cell vectors:
1 Tl 0.0000 0.0000 0.0000
2 Tl 0.3082 0.7021 0.5576
3 Tl 0.7021 0.3082 0.5576
4 Tc 0.4952 0.4952 0.0494
5 I 0.1697 0.5446 0.8058
6 I 0.3306 0.3306 0.1706
7 I 0.4380 0.8225 0.2818
8 I 0.5446 0.1697 0.8058
9 I 0.6653 0.6653 0.9352
10 I 0.8225 0.4380 0.2818
11 I 0.9892 0.9892 0.6222

The 6 most intense peaks (2θ from 15° to 90°), sorted by position:
16.5 deg, I 51.1; 20.7 deg, I 100.0; 27.2 deg, I 43.1; 29.5 deg, I 61.9; 30.1 deg, I 51.0; 31.3 deg, I 48.8

Please write out number 10 again, unchanged.
Diffraction record for Tl3TcI7. The powder XRD pattern is calculated, not measured: it uses a GGA-PBE-relaxed structure and a wavelength of 1.5418 Å.

Unit cell a=8.0920 b=8.0920 c=8.8529 alpha=112.72 beta=112.72 gamma=79.34
Sites, in units of the cell vectors:
1 Tl 0.0000 0.0000 0.0000
2 Tl 0.3082 0.7021 0.5576
3 Tl 0.7021 0.3082 0.5576
4 Tc 0.4952 0.4952 0.0494
5 I 0.1697 0.5446 0.8058
6 I 0.3306 0.3306 0.1706
7 I 0.4380 0.8225 0.2818
8 I 0.5446 0.1697 0.8058
9 I 0.6653 0.6653 0.9352
10 I 0.8225 0.4380 0.2818
11 I 0.9892 0.9892 0.6222

The 6 most intense peaks (2θ from 15° to 90°), sorted by position:
16.5 deg, I 51.1; 20.7 deg, I 100.0; 27.2 deg, I 43.1; 29.5 deg, I 61.9; 30.1 deg, I 51.0; 31.3 deg, I 48.8